1.
Ba2LuMgRuO6: calculated powder XRD pattern (λ = 1.5418 Å (Cu Kα)), based on a crystal structure in the Materials Project, relaxed with PBE.
Kinematic intensities with the Lorentz-polarization factor, no thermal factor.

Main lines, in order of rising 2θ (2θ = 10–90°):
2theta	I/Imax
20.28	143
27.52	150
27.91	295
30.07	1000
32.18	229
41.24	196
44.99	192
45.36	110
53.44	134
62.48	121

Cell and atoms:
a b c (Å): 5.9469 5.9469 6.5199
angles (deg): 118.01 118.01 59.88
Fractional positions:
Ba1 0.0000 0.0000 0.0000
Ba2 0.5464 0.5464 0.6475
Lu1 0.2106 0.2106 0.6362
Mg1 0.3811 0.3811 0.1372
Ru1 0.7390 0.7390 0.2248
O1 0.4852 0.4852 0.9699
O2 0.4880 0.9694 0.4413
O3 0.4900 0.9971 0.9806
O4 0.9694 0.4880 0.4413
O5 0.9726 0.9726 0.4471
O6 0.9971 0.4900 0.9806

---

2.
Nd2B5: calculated powder XRD pattern (λ = 1.5418 Å (Cu Kα)), based on a crystal structure in the Materials Project, relaxed with PBE.
Kinematic intensities with the Lorentz-polarization factor, no thermal factor.

Main lines, in order of rising 2θ (2θ = 10–90°):
2theta	I/Imax
24.42	444
24.65	361
24.83	1000
27.36	695
27.66	567
32.22	285
34.44	438
35.10	472
35.68	424
51.52	290

Cell and atoms:
a b c (Å): 8.4207 8.4207 7.3195
angles (deg): 107.19 107.19 51.30
Fractional positions:
Nd1 0.0568 0.1805 0.2231
Nd2 0.1805 0.0568 0.7231
Nd3 0.3106 0.4511 0.4013
Nd4 0.4511 0.3106 0.9013
Nd5 0.5489 0.6894 0.0987
Nd6 0.6894 0.5489 0.5987
Nd7 0.8195 0.9432 0.2769
Nd8 0.9432 0.8195 0.7769
B1 0.0406 0.4616 0.8292
B2 0.0894 0.5908 0.0606
B3 0.0922 0.4090 0.5919
B4 0.1720 0.3284 0.0398
B5 0.2021 0.7128 0.1481
B6 0.2872 0.7979 0.3519
B7 0.3284 0.1720 0.5398
B8 0.4090 0.0922 0.0919
B9 0.4092 0.9106 0.4394
B10 0.4616 0.0406 0.3292
B11 0.5384 0.9594 0.6708
B12 0.5908 0.0894 0.5606
B13 0.5910 0.9078 0.9081
B14 0.6716 0.8280 0.4602
B15 0.7128 0.2021 0.6481
B16 0.7979 0.2872 0.8519
B17 0.8280 0.6716 0.9602
B18 0.9078 0.5910 0.4081
B19 0.9106 0.4092 0.9394
B20 0.9594 0.5384 0.1708